This entry pairs a crystal structure of Li3MgRe with its simulated X-ray powder pattern. Radiation: Cu Kα X-rays. Structure: a crystal structure in Alexandria, relaxed with GGA-PBE.

Principal peaks in the range 15 to 90 degrees two-theta, sorted by position:
h k l, d/Å, I/Imax
1 0 0, 4.867, 72
1 1 0, 3.441, 100
2 0 0, 2.433, 24
2 1 0, 2.176, 37
2 1 1, 1.987, 44
3 2 1, 1.301, 22

Cell and atoms:
```
data_Li3MgRe
_chemical_formula_sum 'Li3 Mg1 Re1'
_cell_length_a 4.8665
_cell_length_b 4.8665
_cell_length_c 4.8665
_cell_angle_alpha 90.00
_cell_angle_beta 90.00
_cell_angle_gamma 90.00
_symmetry_space_group_name_H-M 'P m -3 m'
_symmetry_Int_Tables_number 221
_symmetry_space_group_name_Hall '-P 4 2 3'
loop_
_atom_site_label
_atom_site_type_symbol
_atom_site_fract_x
_atom_site_fract_y
_atom_site_fract_z
Li1 Li 0.0000 0.0000 0.5000
Mg1 Mg 0.5000 0.5000 0.5000
Re1 Re 0.0000 0.0000 0.0000
```


This entry pairs a crystal structure of Ca5Pt2Au2 with its simulated X-ray powder pattern. Radiation: Cu Kα X-rays. Structure: a crystal structure in Alexandria, relaxed with GGA-PBE.

Principal peaks in the range 15 to 90 degrees two-theta, sorted by position:
h k l, d/Å, I/Imax
0 0 2, 3.884, 38
3 1 1, 3.737, 100
2 0 2, 3.464, 47
3 1 2, 2.873, 43
4 2 1, 2.570, 36
5 1 3, 1.915, 66

Cell and atoms:
```
data_Ca5Pt2Au2
_chemical_formula_sum 'Ca20 Pt8 Au8'
_cell_length_a 15.2927
_cell_length_b 7.7531
_cell_length_c 7.7842
_cell_angle_alpha 90.00
_cell_angle_beta 90.00
_cell_angle_gamma 90.00
_symmetry_space_group_name_H-M 'C m c e'
_symmetry_Int_Tables_number 64
_symmetry_space_group_name_Hall '-C 2ac 2'
loop_
_atom_site_label
_atom_site_type_symbol
_atom_site_fract_x
_atom_site_fract_y
_atom_site_fract_z
Ca1 Ca 0.0000 0.0000 0.0000
Ca2 Ca 0.1309 0.1707 0.3326
Pt1 Pt 0.0000 0.1264 0.6268
Au1 Au 0.2046 0.0000 0.0000
```


This entry pairs a crystal structure of Tb2PrHoSe4 with its simulated X-ray powder pattern. Radiation: Cu Kα X-rays. Structure: a crystal structure in Alexandria, relaxed with GGA-PBE.

Principal peaks in the range 15 to 90 degrees two-theta, sorted by position:
h k l, d/Å, I/Imax
1 1 1, 2.920, 100
2 0 2, 2.094, 13
1 1 -3, 2.079, 25
3 1 -1, 2.051, 24
2 2 -2, 1.670, 13
2 2 2, 1.460, 12

Cell and atoms:
```
data_Tb2PrHoSe4
_chemical_formula_sum 'Tb2 Pr1 Ho1 Se4'
_cell_length_a 7.1248
_cell_length_b 4.0709
_cell_length_c 7.2565
_cell_angle_alpha 90.00
_cell_angle_beta 108.75
_cell_angle_gamma 90.00
_symmetry_space_group_name_H-M 'P 1 2/m 1'
_symmetry_Int_Tables_number 10
loop_
_symmetry_equiv_pos_as_xyz
'x,y,z'
'-x,-y,-z'
'-x,y,-z'
'x,-y,z'
loop_
_atom_site_label
_atom_site_type_symbol
_atom_site_fract_x
_atom_site_fract_y
_atom_site_fract_z
Tb1 Tb 0.0000 0.0000 0.0000
Tb2 Tb 0.0000 0.5000 0.5000
Pr1 Pr 0.5000 0.0000 0.5000
Ho1 Ho 0.5000 0.5000 0.0000
Se1 Se 0.2414 0.5000 0.2385
Se2 Se 0.2481 0.0000 0.7579
```